Structure and theoretical PXRD pattern of Tl2MoO6 (a cell relaxed with PBE+U; a wavelength of 1.5418 Å).
Intensities are scaled so that the largest is 100.

Structure:
a b c (Å): 5.5206 5.5504 9.0800
angles (deg): 90.00 90.00 90.00
Fractional coordinates of all 18 atoms:
Tl: 0.0000 0.0000 0.2148
Tl: 0.0000 0.0000 0.7852
Tl: 0.5000 0.5000 0.2852
Tl: 0.5000 0.5000 0.7148
Mo: 0.0000 0.5000 0.0000
Mo: 0.5000 0.0000 0.5000
O: 0.1811 0.2150 0.0000
O: 0.2021 0.6542 0.1565
O: 0.2021 0.6542 0.8435
O: 0.2979 0.1542 0.3435
O: 0.2979 0.1542 0.6565
O: 0.3189 0.7150 0.5000
O: 0.6811 0.2850 0.5000
O: 0.7021 0.8458 0.3435
O: 0.7021 0.8458 0.6565
O: 0.7979 0.3458 0.1565
O: 0.7979 0.3458 0.8435
O: 0.8189 0.7850 0.0000

The 10 most intense peaks (5 to 70 degrees two-theta), by angle:
- 2θ = 18.81°, rel. 37, (1 0 1)
- 2θ = 19.55°, rel. 22, (0 0 2)
- 2θ = 22.72°, rel. 41, (1 1 0)
- 2θ = 30.15°, rel. 100, (1 1 2)
- 2θ = 32.26°, rel. 20, (0 2 0)
- 2θ = 33.74°, rel. 21, (0 1 3)
- 2θ = 46.40°, rel. 21, (2 2 0)
- 2θ = 47.48°, rel. 23, (2 1 3)
- 2θ = 56.21°, rel. 19, (1 3 2)
- 2θ = 56.44°, rel. 19, (3 1 2)